1.
Structure and computed X-ray diffraction stick pattern of Hf3NbGa (a structure optimized by DFT (PBE); Cu Kα, 1.54184 Å).
Intensities are scaled so that the largest is 1000.

```
data_Hf3NbGa
_symmetry_space_group_name_H-M 'I m a 2'
_symmetry_Int_Tables_number 46
_symmetry_space_group_name_Hall 'I 2 -2a'
_cell_length_a 9.765
_cell_length_b 7.077
_cell_length_c 6.345
_cell_angle_alpha 90.00
_cell_angle_beta 90.00
_cell_angle_gamma 90.00
loop_
_atom_site_label
_atom_site_type_symbol
_atom_site_fract_x
_atom_site_fract_y
_atom_site_fract_z
_atom_site_occupancy
Hf1 Hf 0.027 0.249 0.000 1
Hf2 Hf 0.250 0.057 0.251 1
Nb1 Nb 0.250 0.749 0.500 1
Ga1 Ga 0.250 0.057 0.749 1
```

Most intense lines, 2θ = 15–90°, most intense first:
2θ/deg  Rel. int.  hkl
38.1  1000  0 2 2
33.7  812  2 0 2
31.2  756  2 2 0
54.0  559  4 2 2
36.8  519  4 0 0
41.8  484  3 1 2
47.6  312  3 3 0
25.2  247  0 2 0

***

2.
Structure and computed X-ray diffraction stick pattern of ScNiAu (a structure optimized by DFT (PBE); Cu Kα, 1.54184 Å).
Intensities are scaled so that the largest is 1000.

```
data_ScNiAu
_symmetry_space_group_name_H-M 'C 1 2/m 1'
_symmetry_Int_Tables_number 12
_symmetry_space_group_name_Hall '-C 2y'
_cell_length_a 12.161
_cell_length_b 3.889
_cell_length_c 4.138
_cell_angle_alpha 90.00
_cell_angle_beta 90.22
_cell_angle_gamma 90.00
loop_
_atom_site_label
_atom_site_type_symbol
_atom_site_fract_x
_atom_site_fract_y
_atom_site_fract_z
_atom_site_occupancy
Sc1 Sc 0.109 0.000 0.250 1
Ni1 Ni 0.247 0.000 0.752 1
Au1 Au 0.088 0.500 0.750 1
```

Most intense lines, 2θ = 15–90°, most intense first:
2θ/deg  Rel. int.  hkl
38.8  1000  3 1 1
24.0  319  1 1 0
26.0  277  2 0 -1
43.8  184  0 0 2
46.7  152  0 2 0
44.7  149  6 0 0
81.3  114  3 3 1
65.9  106  0 2 2

***

3.
Structure and computed X-ray diffraction stick pattern of SiHgSe2 (a structure optimized by DFT (PBE); Cu Kα, 1.54184 Å).
Intensities are scaled so that the largest is 1000.

```
data_SiHgSe2
_symmetry_space_group_name_H-M 'C 1 m 1'
_symmetry_Int_Tables_number 8
_symmetry_space_group_name_Hall 'C -2y'
_cell_length_a 6.013
_cell_length_b 13.739
_cell_length_c 7.507
_cell_angle_alpha 90.00
_cell_angle_beta 113.56
_cell_angle_gamma 90.00
loop_
_atom_site_label
_atom_site_type_symbol
_atom_site_fract_x
_atom_site_fract_y
_atom_site_fract_z
_atom_site_occupancy
Si1 Si 0.000 0.000 0.000 1
Si2 Si 0.000 0.500 0.000 1
Hg1 Hg 0.002 0.250 0.500 1
Se1 Se 0.123 0.000 0.745 1
Se2 Se 0.250 0.372 0.000 1
Se3 Se 0.377 0.000 0.255 1
```

Most intense lines, 2θ = 15–90°, most intense first:
2θ/deg  Rel. int.  hkl
18.2  1000  0 2 1
42.0  937  2 2 1
29.0  838  0 4 1
25.3  498  1 3 0
25.9  457  0 4 0
57.2  364  2 4 2
29.7  337  2 0 -1
41.5  276  0 6 1

***

4.
Structure and computed X-ray diffraction stick pattern of MgP4Br12O4 (a structure optimized by DFT (PBE); Cu Kα, 1.54184 Å).
Intensities are scaled so that the largest is 1000.

```
data_MgP4Br12O4
_symmetry_space_group_name_H-M 'P 1'
_symmetry_Int_Tables_number 1
_symmetry_space_group_name_Hall 'P 1'
_cell_length_a 7.576
_cell_length_b 9.920
_cell_length_c 11.645
_cell_angle_alpha 88.83
_cell_angle_beta 80.78
_cell_angle_gamma 77.93
loop_
_atom_site_label
_atom_site_type_symbol
_atom_site_fract_x
_atom_site_fract_y
_atom_site_fract_z
_atom_site_occupancy
Mg1 Mg 0.000 0.000 0.000 1
P1 P 0.064 0.187 0.227 1
P2 P 0.229 0.253 0.741 1
P3 P 0.392 0.698 0.109 1
P4 P 0.814 0.754 0.580 1
Br1 Br 0.151 0.477 0.766 1
Br2 Br 0.152 0.380 0.195 1
Br3 Br 0.230 0.070 0.347 1
Br4 Br 0.240 0.800 0.920 1
Br5 Br 0.415 0.170 0.864 1
Br6 Br 0.601 0.521 0.005 1
Br7 Br 0.602 0.941 0.567 1
Br8 Br 0.660 0.587 0.606 1
Br9 Br 0.674 0.006 0.039 1
Br10 Br 0.784 0.236 0.322 1
Br11 Br 0.963 0.183 0.815 1
Br12 Br 0.974 0.717 0.404 1
O1 O 0.076 0.105 0.118 1
O2 O 0.246 0.635 0.179 1
O3 O 0.292 0.207 0.619 1
O4 O 0.925 0.764 0.671 1
```

Most intense lines, 2θ = 15–90°, most intense first:
2θ/deg  Rel. int.  hkl
18.0  1000  0 1 2
27.3  317  2 2 0
21.1  286  1 0 -2
21.3  271  1 -1 2
20.6  233  1 2 1
27.8  216  2 -1 1
24.2  198  0 2 2
21.8  192  1 2 -1